No. 1
For KNaGa, the PBE geometry in Alexandria gives the computed PXRD pattern in this record (a wavelength of 1.5418 Å).
Neutral-atom scattering factors, no anomalous dispersion.

Principal peaks in the range 2θ from 15° to 90°, by intensity:
| 2θ (°) | I/Imax |
| --- | --- |
| 16.5 | 100 |
| 39.0 | 93 |
| 27.1 | 58 |
| 36.2 | 53 |
| 25.8 | 52 |
| 30.4 | 43 |
| 28.4 | 40 |
| 40.0 | 40 |
| 28.2 | 40 |
| 30.1 | 38 |

Crystal structure
abc: 4.5103 6.0366 8.9400
angles: 80.51 89.77 89.99
Sites, in units of the cell vectors:
K  0.2475  0.2880  0.3413
K  0.7525  0.7120  0.6587
Na  0.2520  0.1358  0.8659
Na  0.7480  0.8642  0.1341
Ga  0.2502  0.5958  0.9740
Ga  0.7498  0.4042  0.0260


No. 2
For KNaGaPt, the PBE geometry in Alexandria gives the computed PXRD pattern in this record (a wavelength of 1.5418 Å).
Neutral-atom scattering factors, no anomalous dispersion.

Principal peaks in the range 2θ from 15° to 90°, by intensity:
| 2θ (°) | I/Imax |
| --- | --- |
| 42.0 | 100 |
| 30.6 | 77 |
| 24.2 | 75 |
| 28.4 | 72 |
| 43.6 | 71 |
| 22.9 | 68 |
| 25.1 | 66 |
| 34.6 | 46 |
| 48.3 | 39 |
| 30.8 | 38 |

Crystal structure
abc: 7.4524 4.3061 8.1845
angles: 90.00 108.01 90.00
Sites, in units of the cell vectors:
K  0.0000  0.0000  0.0000
K  0.5000  0.5000  0.0000
Na  0.3139  0.5000  0.4505
Na  0.8139  0.0000  0.4505
Ga  0.0610  0.5000  0.6885
Ga  0.5610  0.0000  0.6885
Pt  0.2268  0.0000  0.6865
Pt  0.7268  0.5000  0.6865


No. 3
For K2NaGaPt, the PBE geometry in Alexandria gives the computed PXRD pattern in this record (a wavelength of 1.5418 Å).
Neutral-atom scattering factors, no anomalous dispersion.

Principal peaks in the range 2θ from 15° to 90°, by intensity:
| 2θ (°) | I/Imax |
| --- | --- |
| 28.3 | 100 |
| 19.9 | 70 |
| 31.8 | 62 |
| 47.3 | 48 |
| 23.1 | 48 |
| 40.5 | 38 |
| 56.0 | 37 |
| 49.6 | 36 |
| 39.8 | 34 |
| 18.3 | 33 |

Crystal structure
abc: 6.3003 6.3003 4.8570
angles: 90.00 90.00 90.00
Sites, in units of the cell vectors:
K  0.0000  0.5000  0.0000
K  0.5000  0.0000  0.0000
Na  0.0000  0.0000  0.5000
Ga  0.5000  0.5000  0.5000
Pt  0.5000  0.5000  0.0000


No. 4
For KNa2Ga2Sb2, the PBE geometry in Alexandria gives the computed PXRD pattern in this record (a wavelength of 1.5418 Å).
Neutral-atom scattering factors, no anomalous dispersion.

Principal peaks in the range 2θ from 15° to 90°, by intensity:
| 2θ (°) | I/Imax |
| --- | --- |
| 35.9 | 100 |
| 24.0 | 97 |
| 37.7 | 58 |
| 18.7 | 38 |
| 40.7 | 31 |
| 53.0 | 26 |
| 32.5 | 22 |
| 65.7 | 21 |
| 46.2 | 20 |
| 43.6 | 19 |

Crystal structure
abc: 9.9447 9.9447 9.9447
angles: 29.18 29.18 29.18
Sites, in units of the cell vectors:
K  0.0000  0.0000  0.0000
Na  0.1385  0.1385  0.1385
Na  0.8615  0.8615  0.8615
Ga  0.4494  0.4494  0.4494
Ga  0.5506  0.5506  0.5506
Sb  0.2475  0.2475  0.2475
Sb  0.7525  0.7525  0.7525


No. 5
For KNb2Ga, the PBE geometry in Alexandria gives the computed PXRD pattern in this record (a wavelength of 1.5418 Å).
Neutral-atom scattering factors, no anomalous dispersion.

Principal peaks in the range 2θ from 15° to 90°, by intensity:
| 2θ (°) | I/Imax |
| --- | --- |
| 31.3 | 100 |
| 46.6 | 56 |
| 40.1 | 49 |
| 35.0 | 37 |
| 54.3 | 20 |
| 21.5 | 16 |
| 71.0 | 15 |
| 17.3 | 14 |
| 71.4 | 12 |
| 73.5 | 12 |

Crystal structure
abc: 4.2151 4.2151 20.5108
angles: 90.00 90.00 90.00
Sites, in units of the cell vectors:
K  0.0000  0.0000  0.0000
K  0.0000  0.5000  0.2500
K  0.5000  0.0000  0.7500
K  0.5000  0.5000  0.5000
Nb  0.1959  0.2500  0.6250
Nb  0.2500  0.6959  0.8750
Nb  0.2500  0.8041  0.3750
Nb  0.3041  0.2500  0.1250
Nb  0.6959  0.7500  0.1250
Nb  0.7500  0.1959  0.3750
Nb  0.7500  0.3041  0.8750
Nb  0.8041  0.7500  0.6250
Ga  0.0000  0.0000  0.5000
Ga  0.0000  0.5000  0.7500
Ga  0.5000  0.0000  0.2500
Ga  0.5000  0.5000  0.0000


No. 6
For K2Np3GaO12, the PBE geometry in Alexandria gives the computed PXRD pattern in this record (a wavelength of 1.5418 Å).
Neutral-atom scattering factors, no anomalous dispersion.

Principal peaks in the range 2θ from 15° to 90°, by intensity:
| 2θ (°) | I/Imax |
| --- | --- |
| 28.1 | 100 |
| 15.1 | 89 |
| 26.7 | 88 |
| 27.3 | 52 |
| 46.3 | 45 |
| 33.3 | 32 |
| 49.2 | 31 |
| 56.4 | 30 |
| 48.9 | 27 |
| 30.4 | 26 |

Crystal structure
abc: 7.4269 7.4269 7.4269
angles: 63.80 63.80 63.80
Sites, in units of the cell vectors:
K  0.1270  0.1270  0.1270
K  0.8730  0.8730  0.8730
Np  0.0000  0.5000  0.5000
Np  0.5000  0.0000  0.5000
Np  0.5000  0.5000  0.0000
Ga  0.5000  0.5000  0.5000
O  0.1769  0.1769  0.5651
O  0.1769  0.5651  0.1769
O  0.1935  0.5596  0.5596
O  0.4349  0.8231  0.8231
O  0.4404  0.4404  0.8065
O  0.4404  0.8065  0.4404
O  0.5596  0.1935  0.5596
O  0.5596  0.5596  0.1935
O  0.5651  0.1769  0.1769
O  0.8065  0.4404  0.4404
O  0.8231  0.4349  0.8231
O  0.8231  0.8231  0.4349


No. 7
For K2NpGa2O6, the PBE geometry in Alexandria gives the computed PXRD pattern in this record (a wavelength of 1.5418 Å).
Neutral-atom scattering factors, no anomalous dispersion.

Principal peaks in the range 2θ from 15° to 90°, by intensity:
| 2θ (°) | I/Imax |
| --- | --- |
| 43.4 | 100 |
| 23.3 | 81 |
| 32.6 | 78 |
| 35.5 | 59 |
| 27.9 | 38 |
| 58.1 | 31 |
| 54.4 | 26 |
| 67.7 | 25 |
| 40.4 | 22 |
| 65.7 | 21 |

Crystal structure
abc: 5.4964 5.4964 6.4043
angles: 90.00 90.00 120.00
Sites, in units of the cell vectors:
K  0.3333  0.6667  0.0000
K  0.6667  0.3333  0.0000
Np  0.0000  0.0000  0.5000
Ga  0.3333  0.6667  0.5000
Ga  0.6667  0.3333  0.5000
O  0.0000  0.3607  0.6694
O  0.0000  0.6393  0.3306
O  0.3607  0.0000  0.6694
O  0.3607  0.3607  0.3306
O  0.6393  0.0000  0.3306
O  0.6393  0.6393  0.6694


No. 8
For K3NpGa2O8, the PBE geometry in Alexandria gives the computed PXRD pattern in this record (a wavelength of 1.5418 Å).
Neutral-atom scattering factors, no anomalous dispersion.

Principal peaks in the range 2θ from 15° to 90°, by intensity:
| 2θ (°) | I/Imax |
| --- | --- |
| 28.9 | 100 |
| 30.4 | 88 |
| 20.9 | 88 |
| 42.5 | 45 |
| 53.1 | 37 |
| 17.4 | 32 |
| 56.8 | 26 |
| 50.3 | 21 |
| 71.1 | 21 |
| 48.8 | 19 |

Crystal structure
abc: 5.8750 5.8750 7.7725
angles: 90.00 90.00 120.00
Sites, in units of the cell vectors:
K  0.0000  0.0000  0.0000
K  0.3333  0.6667  0.6895
K  0.6667  0.3333  0.3105
Np  0.0000  0.0000  0.5000
Ga  0.3333  0.6667  0.2391
Ga  0.6667  0.3333  0.7609
O  0.1650  0.3300  0.3469
O  0.1650  0.8350  0.3469
O  0.3300  0.1650  0.6531
O  0.3333  0.6667  0.0119
O  0.6667  0.3333  0.9881
O  0.6700  0.8350  0.3469
O  0.8350  0.1650  0.6531
O  0.8350  0.6700  0.6531


No. 9
For KNpGa2O8, the PBE geometry in Alexandria gives the computed PXRD pattern in this record (a wavelength of 1.5418 Å).
Neutral-atom scattering factors, no anomalous dispersion.

Principal peaks in the range 2θ from 15° to 90°, by intensity:
| 2θ (°) | I/Imax |
| --- | --- |
| 17.9 | 100 |
| 25.4 | 87 |
| 31.3 | 71 |
| 48.6 | 65 |
| 40.6 | 20 |
| 36.2 | 20 |
| 31.2 | 18 |
| 62.1 | 17 |
| 58.8 | 16 |
| 59.2 | 15 |

Crystal structure
abc: 6.0674 6.0674 6.0674
angles: 109.30 109.30 109.82
Sites, in units of the cell vectors:
K  0.0000  0.0000  0.0000
Np  0.2500  0.7500  0.5000
Ga  0.5000  0.5000  0.0000
Ga  0.7500  0.2500  0.5000
O  0.3271  0.1154  0.7883
O  0.3271  0.5389  0.2117
O  0.3851  0.0388  0.3463
O  0.4611  0.6729  0.7883
O  0.6925  0.0388  0.6537
O  0.8846  0.6729  0.2117
O  0.9612  0.3075  0.3463
O  0.9612  0.6149  0.6537


No. 10
For K3Np3GaSe8, the PBE geometry in Alexandria gives the computed PXRD pattern in this record (a wavelength of 1.5418 Å).
Neutral-atom scattering factors, no anomalous dispersion.

Principal peaks in the range 2θ from 15° to 90°, by intensity:
| 2θ (°) | I/Imax |
| --- | --- |
| 29.1 | 100 |
| 43.3 | 37 |
| 39.8 | 33 |
| 36.8 | 30 |
| 44.9 | 22 |
| 24.9 | 22 |
| 53.0 | 19 |
| 50.1 | 16 |
| 70.7 | 16 |
| 76.7 | 10 |

Crystal structure
abc: 9.1120 9.1120 9.1120
angles: 54.66 54.66 54.66
Sites, in units of the cell vectors:
K  0.0000  0.5000  0.5000
K  0.5000  0.0000  0.5000
K  0.5000  0.5000  0.0000
Np  0.0000  0.0000  0.5000
Np  0.0000  0.5000  0.0000
Np  0.5000  0.0000  0.0000
Ga  0.5000  0.5000  0.5000
Se  0.2351  0.2351  0.2351
Se  0.2356  0.7283  0.7283
Se  0.2717  0.2717  0.7644
Se  0.2717  0.7644  0.2717
Se  0.7283  0.2356  0.7283
Se  0.7283  0.7283  0.2356
Se  0.7644  0.2717  0.2717
Se  0.7649  0.7649  0.7649